No. 1
The following is a simulated powder X-ray diffraction pattern of In9Sn2Hg4. It was derived from DFT lattice parameters and positions (GGA-PBE), using copper Kα.
Intensities are scaled so that the largest is 100.

Structure:
```
In9Sn2Hg4
1.0
4.4981 0.0000 0.0000
2.0962 5.2254 0.0000
2.1521 1.3719 16.9794
In Sn Hg
9 2 4
direct
0.0000 0.0000 0.0000 In
0.0048 0.1892 0.8005 In
0.0056 0.3888 0.6034 In
0.3323 0.4076 0.9302 In
0.3353 0.7985 0.5343 In
0.6647 0.2015 0.4657 In
0.6677 0.5924 0.0698 In
0.9944 0.6112 0.3966 In
0.9952 0.8108 0.1995 In
0.3408 0.6012 0.7326 Sn
0.6592 0.3988 0.2674 Sn
0.3248 0.0057 0.3336 Hg
0.3327 0.1976 0.1310 Hg
0.6673 0.8024 0.8690 Hg
0.6752 0.9943 0.6664 Hg
```

Main lines, sorted by position (2θ = 10–80°):
(hkl), 2θ/deg, I/Imax
1 0 5, 32.56, 100.0
1 1 -4, 32.77, 49.1
1 2 2, 33.52, 46.3
0 1 6, 34.84, 41.7
0 2 -3, 39.23, 29.9
2 1 1, 40.11, 28.5
0 1 -9, 52.93, 12.6
2 0 -5, 53.65, 12.1
0 3 3, 53.98, 11.8
-1 2 7, 61.03, 16.2


No. 2
The following is a simulated powder X-ray diffraction pattern of CoAgRh2. It was derived from DFT lattice parameters and positions (GGA-PBE), using copper Kα.
Intensities are scaled so that the largest is 100.

Structure:
```
CoAgRh2
1.0
2.7383 0.0000 0.0000
0.0000 2.7383 0.0000
0.0000 0.0000 7.6717
Co Ag Rh
1 1 2
direct
0.0000 0.0000 0.0000 Co
0.5000 0.5000 0.7423 Ag
0.0000 0.0000 0.4625 Rh
0.5000 0.5000 0.2173 Rh
```

Main lines, sorted by position (2θ = 10–80°):
(hkl), 2θ/deg, I/Imax
0 0 1, 11.53, 3.3
1 0 1, 34.79, 4.6
0 0 3, 35.09, 3.3
1 0 2, 40.47, 100.0
1 1 0, 46.92, 33.5
0 0 4, 47.40, 13.9
1 1 3, 59.92, 2.7
2 0 0, 68.53, 10.3
1 1 4, 68.91, 17.4
1 0 5, 70.33, 3.2


No. 3
The following is a simulated powder X-ray diffraction pattern of Na4B5C3. It was derived from DFT lattice parameters and positions (GGA-PBE), using copper Kα.
Intensities are scaled so that the largest is 100.

Structure:
```
Na4B5C3
1.0
2.8633 0.0000 0.0000
-1.4316 2.4797 0.0000
0.0000 0.0000 34.0056
Na B C
8 10 6
direct
0.0000 0.0000 0.0000 Na
0.0000 0.0000 0.1236 Na
0.0000 0.0000 0.2480 Na
0.0000 0.0000 0.3756 Na
0.0000 0.0000 0.5000 Na
0.0000 0.0000 0.6244 Na
0.0000 0.0000 0.7520 Na
0.0000 0.0000 0.8764 Na
0.3333 0.6667 0.1853 B
0.3333 0.6667 0.3118 B
0.3333 0.6667 0.4381 B
0.3333 0.6667 0.6882 B
0.3333 0.6667 0.9382 B
0.6667 0.3333 0.0618 B
0.6667 0.3333 0.3118 B
0.6667 0.3333 0.5619 B
0.6667 0.3333 0.6882 B
0.6667 0.3333 0.8147 B
0.3333 0.6667 0.0618 C
0.3333 0.6667 0.5618 C
0.3333 0.6667 0.8148 C
0.6667 0.3333 0.1852 C
0.6667 0.3333 0.4382 C
0.6667 0.3333 0.9382 C
```

Main lines, sorted by position (2θ = 10–80°):
(hkl), 2θ/deg, I/Imax
0 0 8, 20.90, 0.9
1 0 0, 36.23, 17.9
1 0 8, 42.19, 100.0
0 0 16, 42.54, 25.2
0 1 16, 57.07, 9.8
1 1 0, 65.16, 17.4
1 1 8, 69.25, 1.5
2 0 0, 76.89, 1.7
1 0 24, 77.61, 12.1


No. 4
The following is a simulated powder X-ray diffraction pattern of ZrSc2Hg4. It was derived from DFT lattice parameters and positions (GGA-PBE), using copper Kα.
Intensities are scaled so that the largest is 100.

Structure:
```
ZrSc2Hg4
1.0
4.9436 0.0000 0.0000
0.0000 4.9436 0.0000
0.0000 0.0000 6.8192
Zr Sc Hg
1 2 4
direct
0.0000 0.0000 0.0000 Zr
0.0000 0.0000 0.5000 Sc
0.5000 0.5000 0.0000 Sc
0.0000 0.5000 0.2662 Hg
0.0000 0.5000 0.7338 Hg
0.5000 0.0000 0.2662 Hg
0.5000 0.0000 0.7338 Hg
```

Main lines, sorted by position (2θ = 10–80°):
(hkl), 2θ/deg, I/Imax
1 1 0, 25.48, 51.3
0 0 2, 26.14, 22.9
2 0 0, 36.35, 53.6
1 1 2, 36.82, 100.0
2 0 2, 45.31, 22.3
2 2 0, 52.34, 18.9
3 1 0, 59.09, 11.0
2 2 2, 59.43, 10.3
3 1 2, 65.71, 36.9
2 0 4, 66.64, 15.9


Which formula does entry 4 have?
ZrSc2Hg4